1.
The following is a simulated powder diffractogram of BaH6I3. It was derived from a DFT-relaxed cell (PBE, Alexandria), using copper Kα.

Main lines, sorted by position (10 to 90 degrees two-theta):
2θ = 16.5°, I = 100; 2θ = 22.8°, I = 28; 2θ = 25.0°, I = 33; 2θ = 26.1°, I = 43; 2θ = 27.8°, I = 48; 2θ = 31.6°, I = 38; 2θ = 33.4°, I = 64; 2θ = 33.7°, I = 55; 2θ = 35.8°, I = 49; 2θ = 45.4°, I = 21

Lattice parameters (Å, degrees): 7.813 7.813 7.813 92.97 92.97 92.97
Sites, in units of the cell vectors:
1 Ba 0.000 0.000 0.000
2 Ba 0.500 0.500 0.500
3 H 0.089 0.278 0.356
4 H 0.144 0.222 0.411
5 H 0.222 0.411 0.144
6 H 0.278 0.356 0.089
7 H 0.356 0.089 0.278
8 H 0.411 0.144 0.222
9 H 0.589 0.856 0.778
10 H 0.644 0.911 0.722
11 H 0.722 0.644 0.911
12 H 0.778 0.589 0.856
13 H 0.856 0.778 0.589
14 H 0.911 0.722 0.644
15 I 0.189 0.750 0.311
16 I 0.250 0.689 0.811
17 I 0.311 0.189 0.750
18 I 0.689 0.811 0.250
19 I 0.750 0.311 0.189
20 I 0.811 0.250 0.689

---

2.
The following is a simulated powder diffractogram of BaHI2. It was derived from a DFT-relaxed cell (PBE, Alexandria), using copper Kα.

Main lines, sorted by position (10 to 90 degrees two-theta):
2θ = 24.5°, I = 100; 2θ = 24.8°, I = 87; 2θ = 25.5°, I = 76; 2θ = 25.9°, I = 52; 2θ = 28.6°, I = 54; 2θ = 30.2°, I = 60; 2θ = 31.4°, I = 62; 2θ = 34.5°, I = 59; 2θ = 37.1°, I = 50; 2θ = 38.6°, I = 50

Lattice parameters (Å, degrees): 4.687 7.190 9.799 88.81 81.48 87.96
Sites, in units of the cell vectors:
1 Ba 0.000 0.000 0.000
2 Ba 0.434 0.552 0.252
3 H 0.474 0.868 0.102
4 H 0.705 0.885 0.620
5 I 0.020 0.519 0.975
6 I 0.576 0.099 0.732
7 I 0.827 0.663 0.521
8 I 0.938 0.194 0.319

---

3.
The following is a simulated powder diffractogram of BaH9IO5. It was derived from a DFT-relaxed cell (PBE, Alexandria), using copper Kα.

Main lines, sorted by position (10 to 90 degrees two-theta):
2θ = 14.7°, I = 38; 2θ = 15.8°, I = 100; 2θ = 21.2°, I = 76; 2θ = 21.6°, I = 48; 2θ = 23.0°, I = 63; 2θ = 23.4°, I = 44; 2θ = 26.3°, I = 37; 2θ = 26.6°, I = 60; 2θ = 30.5°, I = 48; 2θ = 31.4°, I = 40

Lattice parameters (Å, degrees): 6.296 8.109 8.245 88.84 89.44 72.76
Sites, in units of the cell vectors:
1 Ba 0.175 0.218 0.045
2 Ba 0.825 0.782 0.955
3 H 0.134 0.684 0.284
4 H 0.143 0.976 0.731
5 H 0.167 0.467 0.726
6 H 0.302 0.821 0.833
7 H 0.317 0.546 0.178
8 H 0.319 0.556 0.824
9 H 0.356 0.807 0.171
10 H 0.459 0.333 0.304
11 H 0.492 0.110 0.726
12 H 0.508 0.890 0.274
13 H 0.541 0.667 0.696
14 H 0.644 0.193 0.829
15 H 0.681 0.444 0.176
16 H 0.683 0.454 0.822
17 H 0.698 0.179 0.167
18 H 0.833 0.533 0.274
19 H 0.857 0.024 0.269
20 H 0.866 0.316 0.716
21 I 0.174 0.216 0.507
22 I 0.826 0.784 0.493
23 O 0.165 0.926 0.842
24 O 0.187 0.506 0.835
25 O 0.208 0.669 0.176
26 O 0.441 0.894 0.166
27 O 0.485 0.354 0.189
28 O 0.515 0.646 0.811
29 O 0.559 0.106 0.834
30 O 0.792 0.331 0.824
31 O 0.813 0.494 0.165
32 O 0.835 0.074 0.158

---

4.
The following is a simulated powder diffractogram of BaInH. It was derived from a DFT-relaxed cell (PBE, Alexandria), using copper Kα.

Main lines, sorted by position (10 to 90 degrees two-theta):
2θ = 25.5°, I = 27; 2θ = 28.0°, I = 100; 2θ = 28.1°, I = 47; 2θ = 29.4°, I = 95; 2θ = 29.7°, I = 49; 2θ = 29.9°, I = 63; 2θ = 31.9°, I = 21; 2θ = 32.1°, I = 35; 2θ = 32.3°, I = 25; 2θ = 48.6°, I = 22

Lattice parameters (Å, degrees): 9.567 9.567 12.827 90.00 90.00 120.75
Sites, in units of the cell vectors:
1 Ba 0.005 0.234 0.450
2 Ba 0.068 0.556 0.684
3 Ba 0.234 0.005 0.550
4 Ba 0.255 0.485 0.934
5 Ba 0.444 0.932 0.816
6 Ba 0.485 0.255 0.066
7 Ba 0.515 0.745 0.566
8 Ba 0.556 0.068 0.316
9 Ba 0.745 0.515 0.434
10 Ba 0.766 0.995 0.050
11 Ba 0.932 0.444 0.184
12 Ba 0.995 0.766 0.950
13 In 0.102 0.898 0.250
14 In 0.145 0.218 0.185
15 In 0.190 0.671 0.385
16 In 0.218 0.145 0.815
17 In 0.329 0.810 0.115
18 In 0.415 0.585 0.250
19 In 0.585 0.415 0.750
20 In 0.671 0.190 0.615
21 In 0.782 0.855 0.315
22 In 0.810 0.329 0.885
23 In 0.855 0.782 0.685
24 In 0.898 0.102 0.750
25 H 0.112 0.888 0.750
26 H 0.139 0.632 0.050
27 H 0.171 0.681 0.865
28 H 0.319 0.829 0.635
29 H 0.362 0.638 0.750
30 H 0.368 0.861 0.450
31 H 0.632 0.139 0.950
32 H 0.638 0.362 0.250
33 H 0.681 0.171 0.135
34 H 0.829 0.319 0.365
35 H 0.861 0.368 0.550
36 H 0.888 0.112 0.250

---

5.
The following is a simulated powder diffractogram of Ba6In3H2. It was derived from a DFT-relaxed cell (PBE, Alexandria), using copper Kα.

Main lines, sorted by position (10 to 90 degrees two-theta):
2θ = 15.9°, I = 14; 2θ = 23.1°, I = 53; 2θ = 25.9°, I = 18; 2θ = 28.3°, I = 33; 2θ = 30.0°, I = 100; 2θ = 31.5°, I = 68; 2θ = 42.8°, I = 21; 2θ = 45.1°, I = 25; 2θ = 46.8°, I = 12; 2θ = 55.2°, I = 35

Lattice parameters (Å, degrees): 13.877 13.877 13.877 156.36 156.36 33.67
Sites, in units of the cell vectors:
1 Ba 0.081 0.581 0.500
2 Ba 0.203 0.203 0.000
3 Ba 0.419 0.919 0.500
4 Ba 0.581 0.081 0.500
5 Ba 0.797 0.797 0.000
6 Ba 0.919 0.419 0.500
7 In 0.336 0.336 0.000
8 In 0.500 0.500 0.000
9 In 0.664 0.664 0.000
10 H 0.100 0.100 0.000
11 H 0.900 0.900 0.000

---

6.
The following is a simulated powder diffractogram of BaInH3. It was derived from a DFT-relaxed cell (PBE, Alexandria), using copper Kα.

Main lines, sorted by position (10 to 90 degrees two-theta):
2θ = 24.3°, I = 76; 2θ = 25.3°, I = 67; 2θ = 29.6°, I = 61; 2θ = 30.2°, I = 100; 2θ = 34.0°, I = 65; 2θ = 42.0°, I = 22; 2θ = 47.0°, I = 26; 2θ = 49.7°, I = 21; 2θ = 50.3°, I = 33; 2θ = 52.2°, I = 24

Lattice parameters (Å, degrees): 7.355 7.355 7.355 145.97 123.69 67.45
Sites, in units of the cell vectors:
1 Ba 0.178 0.178 0.000
2 Ba 0.822 0.822 0.000
3 In 0.289 0.500 0.789
4 In 0.711 0.500 0.211
5 H 0.054 0.330 0.724
6 H 0.230 0.000 0.230
7 H 0.393 0.670 0.724
8 H 0.607 0.330 0.276
9 H 0.770 0.000 0.770
10 H 0.946 0.670 0.276

---

7.
The following is a simulated powder diffractogram of BaInNi2H8. It was derived from a DFT-relaxed cell (PBE, Alexandria), using copper Kα.

Main lines, sorted by position (10 to 90 degrees two-theta):
2θ = 22.0°, I = 53; 2θ = 25.1°, I = 11; 2θ = 25.3°, I = 29; 2θ = 33.6°, I = 100; 2θ = 38.5°, I = 55; 2θ = 46.6°, I = 14; 2θ = 52.1°, I = 28; 2θ = 56.7°, I = 21; 2θ = 66.6°, I = 26; 2θ = 83.5°, I = 13

Lattice parameters (Å, degrees): 4.673 4.673 7.082 90.00 90.00 120.00
Sites, in units of the cell vectors:
1 Ba 0.000 0.000 0.000
2 In 0.000 0.000 0.500
3 Ni 0.333 0.667 0.672
4 Ni 0.667 0.333 0.328
5 H 0.007 0.663 0.318
6 H 0.333 0.667 0.887
7 H 0.337 0.344 0.318
8 H 0.344 0.007 0.682
9 H 0.656 0.993 0.318
10 H 0.663 0.656 0.682
11 H 0.667 0.333 0.113
12 H 0.993 0.337 0.682

---

8.
The following is a simulated powder diffractogram of BaInHPd2. It was derived from a DFT-relaxed cell (PBE, Alexandria), using copper Kα.

Main lines, sorted by position (10 to 90 degrees two-theta):
2θ = 30.2°, I = 51; 2θ = 31.6°, I = 52; 2θ = 32.0°, I = 100; 2θ = 32.4°, I = 94; 2θ = 37.7°, I = 36; 2θ = 38.2°, I = 27; 2θ = 41.7°, I = 87; 2θ = 53.3°, I = 23; 2θ = 57.1°, I = 26; 2θ = 57.5°, I = 21

Lattice parameters (Å, degrees): 6.459 6.459 7.670 90.00 90.00 140.88
Sites, in units of the cell vectors:
1 Ba 0.053 0.947 0.750
2 Ba 0.947 0.053 0.250
3 In 0.225 0.775 0.250
4 In 0.775 0.225 0.750
5 H 0.500 0.500 0.000
6 H 0.500 0.500 0.500
7 Pd 0.349 0.651 0.556
8 Pd 0.349 0.651 0.944
9 Pd 0.651 0.349 0.056
10 Pd 0.651 0.349 0.444